# 1
The following is a calculated PXRD pattern of CoPbCl5. It was derived from a PBE-relaxed structure, using Cu Kα, 1.54184 Å.

Structure:
```
14
Lattice="5.342 -4.934 0.000 5.342 4.934 0.000 -5.325 0.000 9.087" Properties=species:S:1:pos:R:3 pbc="T T T"
Co 1.348 4.009 6.815
Co 4.011 -4.009 2.272
Pb 5.342 0.000 0.000
Pb 2.679 0.000 4.543
Cl -2.386 0.419 7.444
Cl 2.000 2.827 5.092
Cl 0.276 -0.419 2.900
Cl 0.697 2.827 8.539
Cl 4.011 0.920 2.272
Cl 1.348 -0.920 6.815
Cl 4.662 -2.827 0.548
Cl 5.082 0.419 6.186
Cl 3.359 -2.827 3.995
Cl 7.745 -0.419 1.643
```

Top 10 peaks for 2θ = 15–90°, by angle:
2θ/deg	I_rel
18.0	40
19.1	100
19.3	71
26.5	20
27.4	19
28.8	26
30.5	22
32.1	26
34.0	25
38.8	26



# 2
The following is a calculated PXRD pattern of Pm3Ho3Mg. It was derived from a PBE-relaxed structure, using Cu Kα, 1.54184 Å.

Structure:
```
14
Lattice="3.104 1.792 13.994 -3.104 1.792 13.994 0.000 -3.584 13.994" Properties=species:S:1:pos:R:3 pbc="T T T"
Pm -2.071 0.002 18.272
Pm -1.037 -1.793 23.708
Pm 1.034 -1.795 18.272
Pm -1.034 1.795 23.708
Pm 1.037 1.793 18.272
Pm 2.071 -0.002 23.708
Ho -1.034 -1.789 15.418
Ho -2.066 0.001 26.562
Ho -1.032 1.790 15.418
Ho 1.032 -1.790 26.562
Ho 2.066 -0.001 15.418
Ho 1.034 1.789 26.562
Mg 0.000 0.000 6.997
Mg 0.000 0.000 34.983
```

Top 10 peaks for 2θ = 15–90°, by angle:
2θ/deg	I_rel
28.8	28
31.5	100
32.0	33
34.7	64
43.5	18
51.0	27
54.6	25
61.2	15
61.4	30
83.6	13



# 3
The following is a calculated PXRD pattern of Bi2SF3. It was derived from a PBE-relaxed structure, using Cu Kα, 1.54184 Å.

Structure:
```
12
Lattice="7.662 -2.075 0.000 7.662 2.075 0.000 -3.609 0.000 7.180" Properties=species:S:1:pos:R:3 pbc="T T T"
Bi -1.028 0.000 2.169
Bi 1.505 0.000 5.778
Bi 10.209 0.000 1.402
Bi 12.742 0.000 5.012
S 4.639 0.000 1.349
S 7.075 0.000 5.831
F 1.563 0.000 0.799
F 0.852 0.000 3.530
F 3.938 0.000 5.192
F 7.776 0.000 1.988
F 10.862 0.000 3.650
F 10.152 0.000 6.381
```

Top 10 peaks for 2θ = 15–90°, by angle:
2θ/deg	I_rel
21.6	46
24.2	82
24.8	78
26.0	41
26.7	69
29.1	100
43.3	44
43.6	38
44.2	52
51.7	38



# 4
The following is a calculated PXRD pattern of Nd10Se19. It was derived from a PBE-relaxed structure, using Cu Kα, 1.54184 Å.

Structure:
```
58
Lattice="9.334 0.000 0.000 0.000 9.334 0.000 0.000 0.000 17.066" Properties=species:S:1:pos:R:3 pbc="T T T"
Nd 0.406 1.427 2.041
Nd 0.497 1.381 10.344
Nd 1.381 4.170 15.255
Nd 1.427 4.261 6.492
Nd 2.334 7.001 1.992
Nd 2.334 7.001 10.525
Nd 3.240 0.406 6.492
Nd 3.287 0.497 15.255
Nd 4.170 3.287 10.344
Nd 4.261 3.240 2.041
Nd 5.073 6.094 15.025
Nd 5.164 6.048 6.722
Nd 6.048 8.837 1.811
Nd 6.094 8.928 10.574
Nd 7.001 2.334 6.541
Nd 7.001 2.334 15.074
Nd 7.907 5.073 10.574
Nd 7.954 5.164 1.811
Nd 8.837 7.954 6.722
Nd 8.928 7.907 15.025
Se 0.276 6.278 4.265
Se 0.456 1.422 7.324
Se 0.488 1.394 15.988
Se 0.611 5.775 12.811
Se 1.108 8.724 4.278
Se 1.394 4.180 9.612
Se 1.422 4.211 1.209
Se 1.611 9.059 12.798
Se 2.334 2.334 4.267
Se 2.334 7.001 7.437
Se 2.334 7.001 15.970
Se 3.056 4.943 12.798
Se 3.245 0.456 1.209
Se 3.273 0.488 9.612
Se 3.559 5.278 4.278
Se 4.057 8.226 12.811
Se 4.180 3.273 15.988
Se 4.211 3.245 7.324
Se 4.391 7.723 4.265
Se 4.943 1.611 12.801
Se 5.123 6.089 9.742
Se 5.155 6.061 1.079
Se 5.278 1.108 4.255
Se 5.775 4.057 12.788
Se 6.061 8.847 7.454
Se 6.089 8.878 15.857
Se 6.278 4.391 4.268
Se 7.001 2.334 1.096
Se 7.001 2.334 9.629
Se 7.001 7.001 12.800
Se 7.723 0.276 4.268
Se 7.912 5.123 15.857
Se 7.940 5.155 7.454
Se 8.226 0.611 12.788
Se 8.724 3.559 4.255
Se 8.847 7.940 1.079
Se 8.878 7.912 9.742
Se 9.059 3.056 12.801
```

Top 10 peaks for 2θ = 15–90°, by angle:
2θ/deg	I_rel
23.7	49
30.3	49
31.5	33
32.1	65
37.0	100
38.3	63
43.4	58
54.5	24
59.2	35
63.0	23



# 5
The following is a calculated PXRD pattern of CaAgPdAu. It was derived from a PBE-relaxed structure, using Cu Kα, 1.54184 Å.

Structure:
```
4
Lattice="-2.139 2.139 4.213 2.139 -2.139 4.213 2.139 2.139 -4.213" Properties=species:S:1:pos:R:3 pbc="T T T"
Ca 0.000 0.000 0.000
Ag 0.000 0.000 4.213
Pd 0.000 2.139 2.106
Au 2.139 0.000 2.106
```

Top 10 peaks for 2θ = 15–90°, by angle:
2θ/deg	I_rel
21.1	10
23.3	18
36.6	100
42.2	33
42.9	16
61.3	11
61.8	21
73.5	25
74.5	12
77.7	11



# 6
The following is a calculated PXRD pattern of Pa3Ni2Pt3. It was derived from a PBE-relaxed structure, using Cu Kα, 1.54184 Å.

Structure:
```
16
Lattice="3.937 0.000 0.000 0.000 14.325 0.000 -1.961 0.000 5.378" Properties=species:S:1:pos:R:3 pbc="T T T"
Pa 0.000 3.581 0.357
Pa 0.003 7.762 1.734
Pa 0.003 13.725 1.734
Pa 1.973 0.600 3.644
Pa 1.973 6.563 3.644
Pa 1.976 10.744 5.021
Ni 0.003 2.365 3.616
Ni 0.003 4.797 3.616
Ni 1.973 9.527 1.762
Ni 1.973 11.960 1.762
Pt 0.005 10.744 2.944
Pt 0.005 8.482 4.771
Pt 0.005 13.006 4.771
Pt 1.971 1.319 0.607
Pt 1.971 5.843 0.607
Pt 1.971 3.581 2.434
```

Top 10 peaks for 2θ = 15–90°, by angle:
2θ/deg	I_rel
24.9	37
34.9	61
35.7	20
36.1	100
38.4	22
38.9	58
39.8	51
46.1	39
47.5	26
68.4	33



# 7
The following is a calculated PXRD pattern of YHfRhAu2. It was derived from a PBE-relaxed structure, using Cu Kα, 1.54184 Å.

Structure:
```
5
Lattice="5.140 0.000 0.000 0.000 5.140 0.000 0.000 0.000 4.739" Properties=species:S:1:pos:R:3 pbc="T T T"
Y 0.000 0.000 0.000
Hf 2.570 2.570 2.370
Rh 2.570 2.570 0.000
Au 0.000 2.570 2.370
Au 2.570 0.000 2.370
```

Top 10 peaks for 2θ = 15–90°, by angle:
2θ/deg	I_rel
17.3	35
18.7	53
31.0	81
34.9	100
38.0	40
39.9	34
50.2	36
52.5	63
60.2	24
64.6	34



# 8
The following is a calculated PXRD pattern of CsPu4Cl8. It was derived from a PBE-relaxed structure, using Cu Kα, 1.54184 Å.

Structure:
```
26
Lattice="7.660 0.000 0.000 -3.830 6.634 0.000 0.000 0.000 18.381" Properties=species:S:1:pos:R:3 pbc="T T T"
Cs 0.000 0.000 0.000
Cs 0.000 0.000 9.190
Pu 0.000 0.000 4.595
Pu 0.000 0.000 13.786
Pu -1.907 3.322 4.595
Pu 1.907 3.322 4.595
Pu 0.000 6.624 4.595
Pu 3.830 0.010 13.786
Pu 1.923 3.312 13.786
Pu 5.737 3.312 13.786
Cl 0.000 2.211 11.962
Cl 0.000 2.211 15.610
Cl -1.915 5.528 11.962
Cl -1.915 5.528 15.610
Cl 1.915 1.105 2.771
Cl 1.915 1.105 6.419
Cl 0.000 4.423 2.788
Cl 0.000 4.423 6.403
Cl 3.830 2.211 11.978
Cl 3.830 2.211 15.593
Cl 1.915 5.528 11.962
Cl 1.915 5.528 15.610
Cl 5.745 1.105 2.771
Cl 5.745 1.105 6.419
Cl 3.830 4.423 2.771
Cl 3.830 4.423 6.419
```

Top 10 peaks for 2θ = 15–90°, by angle:
2θ/deg	I_rel
19.3	30
26.9	52
28.6	61
33.3	100
40.1	37
47.5	24
48.2	28
48.6	20
59.2	19
79.2	17